Diffraction record for BaZr4SnO12. The powder diffraction line list is computed, not measured: it uses a cell relaxed with PBE and λ = 1.5418 Å (Cu Kα).
No peak broadening, texture or thermal motion is included.

Atomic structure:
```
data_BaZr4SnO12
_cell_length_a 8.3611
_cell_length_b 8.1893
_cell_length_c 8.1351
_cell_angle_alpha 90.00
_cell_angle_beta 90.00
_cell_angle_gamma 90.00
_symmetry_space_group_name_H-M 'A m m 2'
_symmetry_Int_Tables_number 38
loop_
_symmetry_equiv_pos_as_xyz
'x,y,z'
'-x,-y,z'
'-x,y,z'
'x,-y,z'
'x,y+1/2,z+1/2'
'-x,-y+1/2,z+1/2'
'-x,y+1/2,z+1/2'
'x,-y+1/2,z+1/2'
loop_
_atom_site_label
_atom_site_type_symbol
_atom_site_fract_x
_atom_site_fract_y
_atom_site_fract_z
Ba1 Ba 0.0000 0.0000 0.0000
Zr1 Zr 0.2520 0.2462 0.7244
Sn1 Sn 0.5000 0.0000 0.4508
O1 O 0.0000 0.2143 0.7236
O2 O 0.2299 0.0000 0.2544
O3 O 0.2425 0.2033 0.9748
O4 O 0.3318 0.0000 0.6365
O5 O 0.5000 0.1906 0.2923
```

The 10 most intense peaks (10° ≤ 2θ ≤ 80°), by intensity:
18.68°, I 100; 30.56°, I 71; 30.99°, I 64; 30.67°, I 59; 54.79°, I 29; 54.18°, I 29; 54.99°, I 28; 43.29°, I 24; 44.24°, I 21; 36.34°, I 17